For Rb3In2Bi4, DFT lattice parameters and positions (PBE) gives the simulated X-ray diffraction stick pattern in this record (λ = 1.5418 Å (Cu Kα)).
Kinematic intensities with the Lorentz-polarization factor, no thermal factor.

Principal peaks in the range 15 to 90 degrees two-theta, by intensity:
h k l	2θ (°)	d/Å	I_rel
3 1 -1	25.49	3.495	100
3 1 -3	33.37	2.685	47
0 2 0	35.90	2.501	35
5 1 0	36.14	2.485	35
0 0 3	26.94	3.310	29
1 1 2	27.27	3.270	26
6 2 -4	58.44	1.579	24
4 0 1	28.85	3.095	23

Structural model:
```
data_Rb3In2Bi4
_space_group_name_H-M_alt 'C 1 2/m 1'
_space_group_IT_number 12
_space_group_name_Hall '-C 2y'
_cell_length_a 14.948
_cell_length_b 5.003
_cell_length_c 10.369
_cell_angle_alpha 90.00
_cell_angle_beta 106.73
_cell_angle_gamma 90.00
loop_
_atom_site_label
_atom_site_fract_x
_atom_site_fract_y
_atom_site_fract_z
Rb1 0.000 0.000 0.000
Rb2 0.103 0.500 0.686
In1 0.214 0.500 0.355
Bi1 0.109 0.000 0.399
Bi2 0.208 0.500 0.054
```